Simulated XRD peak list of Pm3YRu for Cu Ka, from a GGA-PBE-relaxed structure.
Lines closer than 0.1° are merged.

Atomic structure:
a b c (Å): 7.744 6.550 6.363
angles (deg): 90.00 90.00 90.00
Atoms (fractional coordinates):
Pm1 0.000 0.157 0.000
Pm2 0.250 0.319 0.503
Pm3 0.250 0.681 0.003
Pm4 0.500 0.843 0.500
Pm5 0.750 0.319 0.503
Pm6 0.750 0.681 0.003
Y1 0.000 0.837 0.506
Y2 0.500 0.163 0.006
Ru1 0.000 0.501 0.253
Ru2 0.500 0.499 0.753

Top 12 peaks for 10 to 80 degrees two-theta, low angle first:
2θ (°), intensity, hkl
22.61, 12, 1 1 1
28.05, 26, 0 0 2
30.27, 100, 2 1 1
30.70, 43, 0 2 1
39.14, 29, 2 1 2
39.49, 17, 0 2 2
46.93, 14, 4 0 0
47.83, 25, 2 3 0
51.04, 23, 2 1 3
56.36, 14, 2 3 2
57.13, 16, 4 2 1
78.36, 11, 2 3 4


Simulated XRD peak list of Pm2Zn6Ru for Cu Ka, from a GGA-PBE-relaxed structure.
Lines closer than 0.1° are merged.

Atomic structure:
a b c (Å): 5.776 5.776 5.818
angles (deg): 90.00 90.00 120.00
Atoms (fractional coordinates):
Pm1 0.333 0.667 0.348
Pm2 0.667 0.333 0.652
Zn1 0.175 0.350 0.830
Zn2 0.175 0.825 0.830
Zn3 0.350 0.175 0.170
Zn4 0.650 0.825 0.830
Zn5 0.825 0.175 0.170
Zn6 0.825 0.650 0.170
Ru1 0.000 0.000 0.500

Top 12 peaks for 10 to 80 degrees two-theta, low angle first:
2θ (°), intensity, hkl
30.96, 21, 1 1 0
34.68, 55, 1 1 1
35.71, 63, 1 0 2
35.91, 14, 2 0 0
39.21, 100, 0 2 1
47.97, 14, 2 0 2
50.47, 15, 1 0 3
57.50, 13, 3 0 1
58.20, 23, 2 1 2
64.54, 25, 2 2 0
69.43, 17, 2 1 3
76.00, 13, 1 3 2